This entry pairs a crystal structure of SmHf2N4 with its theoretical X-ray diffraction stick pattern. Radiation: Cu Kα, 1.54184 Å. Structure: the PBE geometry in Alexandria.
Lines closer than 0.1° are merged.

Crystal structure
a = 3.2457 Å, b = 10.7384 Å, c = 10.5427 Å
α = 90.00°, β = 90.00°, γ = 90.00°
Space group Cmcm (No. 63)
Asymmetric unit:
Sm1 0.0000 0.1094 0.2500 (multiplicity 4)
Hf1 0.0000 0.3678 0.0679 (multiplicity 8)
N1 0.0000 0.0000 0.0000 (multiplicity 4)
N2 0.0000 0.2631 0.6124 (multiplicity 8)
N3 0.0000 0.4476 0.2500 (multiplicity 4)

Most intense lines, 5 to 70 degrees two-theta, low angle first:
| d (Å) | Position (°2θ) | Rel. int. |
| --- | --- | --- |
| 2.980 | 29.98 | 33 |
| 2.940 | 30.40 | 100 |
| 2.685 | 33.38 | 34 |
| 2.677 | 33.48 | 42 |
| 2.344 | 38.40 | 30 |
| 2.188 | 41.27 | 30 |
| 1.745 | 52.45 | 21 |
| 1.696 | 54.08 | 16 |
| 1.595 | 57.80 | 27 |
| 1.421 | 65.72 | 23 |